Record 1
Computed PXRD pattern
Compound: Ba2Ge3Pd5
Radiation: Cu Kα
Structure: DFT lattice parameters and positions (PBE)
Intensities are scaled so that the largest is 100.

Principal peaks in the range 10° ≤ 2θ ≤ 90°, most intense first:
d_spacing  two_theta  I (rel.)
2.284  39.45  100
2.755  32.50  95
2.701  33.17  70
2.783  32.16  70
1.887  48.23  29
1.781  51.31  24
1.737  52.69  24
1.127  86.36  20
2.005  45.24  18
1.583  58.30  17
2.037  44.47  16
1.376  68.16  16

Crystal structure
abc: 8.967 8.967 8.967
angles: 109.43 85.21 138.66
Fractional positions:
1 Ba 0.132 0.244 0.376
2 Ba 0.368 0.744 0.112
3 Ba 0.632 0.256 0.888
4 Ba 0.868 0.756 0.624
5 Ge 0.119 0.622 0.742
6 Ge 0.250 0.250 0.000
7 Ge 0.381 0.122 0.503
8 Ge 0.619 0.878 0.497
9 Ge 0.750 0.750 0.000
10 Ge 0.881 0.378 0.258
11 Pd 0.019 0.750 0.269
12 Pd 0.116 0.875 0.991
13 Pd 0.250 0.750 0.500
14 Pd 0.384 0.375 0.760
15 Pd 0.481 0.750 0.731
16 Pd 0.519 0.250 0.269
17 Pd 0.616 0.625 0.240
18 Pd 0.750 0.250 0.500
19 Pd 0.884 0.125 0.009
20 Pd 0.981 0.250 0.731

=====

Record 2
Computed PXRD pattern
Compound: Fe5C3
Radiation: Cu Kα
Structure: DFT lattice parameters and positions (PBE)
Intensities are scaled so that the largest is 100.

Principal peaks in the range 10° ≤ 2θ ≤ 90°, most intense first:
d_spacing  two_theta  I (rel.)
1.835  49.69  100
1.733  52.84  78
2.444  36.78  64
2.161  41.81  61
1.857  49.05  42
2.457  36.58  37
1.638  56.16  34
1.094  89.61  24
1.214  78.86  21
1.222  78.24  21
1.186  81.11  13
1.098  89.24  13

Crystal structure
abc: 5.674 5.674 4.811
angles: 90.00 90.00 120.00
Fractional positions:
1 Fe 0.000 0.249 0.250
2 Fe 0.000 0.751 0.750
3 Fe 0.249 0.000 0.250
4 Fe 0.249 0.249 0.750
5 Fe 0.333 0.667 0.000
6 Fe 0.333 0.667 0.500
7 Fe 0.667 0.333 0.000
8 Fe 0.667 0.333 0.500
9 Fe 0.751 0.000 0.750
10 Fe 0.751 0.751 0.250
11 C 0.000 0.398 0.750
12 C 0.000 0.602 0.250
13 C 0.398 0.000 0.750
14 C 0.398 0.398 0.250
15 C 0.602 0.000 0.250
16 C 0.602 0.602 0.750

=====

Record 3
Computed PXRD pattern
Compound: Sr2AgHg
Radiation: Cu Kα
Structure: DFT lattice parameters and positions (PBE)
Intensities are scaled so that the largest is 100.

Principal peaks in the range 10° ≤ 2θ ≤ 90°, most intense first:
d_spacing  two_theta  I (rel.)
2.557  35.09  100
3.182  28.04  97
2.589  34.65  45
6.077  14.58  36
2.472  36.35  35
4.159  21.37  32
2.213  40.77  26
2.988  29.90  25
1.682  54.56  24
1.616  56.99  24
1.649  55.75  21
1.353  69.48  21

Crystal structure
abc: 4.944 6.467 6.467
angles: 40.02 90.00 90.00
Fractional positions:
1 Sr 0.000 0.000 0.000
2 Sr 0.500 0.281 0.281
3 Ag 0.000 0.715 0.715
4 Hg 0.500 0.566 0.566

=====

Copy entry 3 word for word.
Computed PXRD pattern
Compound: Sr2AgHg
Radiation: Cu Kα
Structure: DFT lattice parameters and positions (PBE)
Intensities are scaled so that the largest is 100.

Principal peaks in the range 10° ≤ 2θ ≤ 90°, most intense first:
d_spacing  two_theta  I (rel.)
2.557  35.09  100
3.182  28.04  97
2.589  34.65  45
6.077  14.58  36
2.472  36.35  35
4.159  21.37  32
2.213  40.77  26
2.988  29.90  25
1.682  54.56  24
1.616  56.99  24
1.649  55.75  21
1.353  69.48  21

Crystal structure
abc: 4.944 6.467 6.467
angles: 40.02 90.00 90.00
Fractional positions:
1 Sr 0.000 0.000 0.000
2 Sr 0.500 0.281 0.281
3 Ag 0.000 0.715 0.715
4 Hg 0.500 0.566 0.566

=====

Q: Number 3 is which compound?
A: Sr2AgHg